The following is a theoretical XRD peak list of TmF3. It was derived from a structure optimized by DFT (PBE), using λ = 1.5418 Å (Cu Kα).
Lines closer than 0.1° are merged.

Peak list (12 most intense, 2θ from 10° to 90°, sorted by position)
| Position (°2θ) | I/Imax |
| --- | --- |
| 22.88 | 67 |
| 26.08 | 45 |
| 30.72 | 100 |
| 34.96 | 33 |
| 45.39 | 54 |
| 48.99 | 46 |
| 51.74 | 13 |
| 54.31 | 16 |
| 57.28 | 11 |
| 60.09 | 21 |
| 63.97 | 12 |
| 67.21 | 13 |

Atomic structure:
Lattice parameters (Å, degrees): 4.269 4.269 6.835 90.00 90.00 131.10
Sites, in units of the cell vectors:
Tm: 0.245 0.755 0.750
Tm: 0.755 0.245 0.250
F: 0.052 0.948 0.250
F: 0.343 0.657 0.065
F: 0.343 0.657 0.435
F: 0.657 0.343 0.565
F: 0.657 0.343 0.935
F: 0.948 0.052 0.750